1.
This entry pairs a crystal structure of Hg2ClO with its computed X-ray powder pattern. Radiation: Cu Kα X-rays. Structure: the GGA-PBE geometry in the Materials Project.

```
Hg2ClO
1.0
6.155 -3.053 0.000
6.155 3.053 0.000
-2.625 0.000 9.392
Hg Cl O
8 4 4
direct
0.000 0.500 0.500
0.094 0.906 0.750
0.256 0.643 0.104
0.357 0.744 0.396
0.500 0.000 0.000
0.643 0.256 0.604
0.744 0.357 0.896
0.906 0.094 0.250
0.011 0.609 0.859
0.391 0.989 0.641
0.609 0.011 0.359
0.989 0.391 0.141
0.245 0.596 0.561
0.404 0.755 0.939
0.596 0.245 0.061
0.755 0.404 0.439
```

Principal peaks in the range 10 to 90 degrees two-theta, in order of falling intensity:
2θ 34.8, d 2.578, I = 100; 2θ 26.4, d 3.377, I = 85; 2θ 20.7, d 4.285, I = 83; 2θ 14.9, d 5.928, I = 59; 2θ 29.3, d 3.053, I = 42; 2θ 34.7, d 2.587, I = 38; 2θ 30.2, d 2.964, I = 37; 2θ 30.8, d 2.904, I = 36; 2θ 50.1, d 1.819, I = 32; 2θ 50.4, d 1.810, I = 32

---

2.
This entry pairs a crystal structure of SrHg2Cl2O2 with its computed X-ray powder pattern. Radiation: Cu Kα X-rays. Structure: the GGA-PBE geometry in the Materials Project.

```
SrHg2Cl2O2
1.0
8.454 0.000 0.000
0.000 7.164 0.000
-6.262 0.000 9.984
Sr Hg Cl O
4 8 8 8
direct
0.151 0.124 0.375
0.151 0.376 0.875
0.849 0.624 0.125
0.849 0.876 0.625
0.235 0.563 0.607
0.235 0.937 0.107
0.395 0.670 0.368
0.395 0.830 0.868
0.605 0.170 0.132
0.605 0.330 0.632
0.765 0.063 0.893
0.765 0.437 0.393
0.088 0.181 0.627
0.088 0.319 0.127
0.455 0.600 0.112
0.455 0.900 0.612
0.545 0.100 0.388
0.545 0.400 0.888
0.912 0.681 0.873
0.912 0.819 0.373
0.151 0.682 0.730
0.151 0.818 0.230
0.327 0.079 0.997
0.327 0.421 0.497
0.673 0.579 0.503
0.673 0.921 0.003
0.849 0.182 0.770
0.849 0.318 0.270
```

Principal peaks in the range 10 to 90 degrees two-theta, in order of falling intensity:
2θ 31.3, d 2.859, I = 100; 2θ 15.2, d 5.820, I = 99; 2θ 36.0, d 2.496, I = 85; 2θ 27.9, d 3.203, I = 67; 2θ 33.9, d 2.643, I = 66; 2θ 25.9, d 3.436, I = 62; 2θ 33.4, d 2.681, I = 61; 2θ 33.2, d 2.700, I = 59; 2θ 17.5, d 5.065, I = 54; 2θ 19.7, d 4.500, I = 54

---

3.
This entry pairs a crystal structure of Hg2PCl2 with its computed X-ray powder pattern. Radiation: Cu Kα X-rays. Structure: the GGA-PBE geometry in the Materials Project.

```
Hg2PCl2
1.0
4.444 -4.083 0.000
4.444 4.083 0.000
-3.466 0.000 6.928
Hg P Cl
4 2 4
direct
0.000 0.500 0.000
0.207 0.207 0.428
0.500 0.000 0.000
0.793 0.793 0.572
0.138 0.138 0.084
0.862 0.862 0.916
0.223 0.777 0.500
0.392 0.392 0.779
0.608 0.608 0.221
0.777 0.223 0.500
```

Principal peaks in the range 10 to 90 degrees two-theta, in order of falling intensity:
2θ 29.9, d 2.993, I = 100; 2θ 25.3, d 3.518, I = 62; 2θ 22.4, d 3.975, I = 47; 2θ 25.7, d 3.464, I = 37; 2θ 25.5, d 3.500, I = 35; 2θ 41.7, d 2.165, I = 24; 2θ 37.8, d 2.380, I = 20; 2θ 41.0, d 2.200, I = 18; 2θ 44.4, d 2.042, I = 18; 2θ 47.1, d 1.928, I = 15

---

4.
This entry pairs a crystal structure of Rb2Hg2PdCl8 with its computed X-ray powder pattern. Radiation: Cu Kα X-rays. Structure: the GGA-PBE geometry in the Materials Project.

```
Rb2Hg2PdCl8
1.0
5.882 -3.526 0.000
5.882 3.526 0.000
-3.352 0.000 9.722
Rb Hg Pd Cl
2 2 1 8
direct
0.109 0.109 0.337
0.891 0.891 0.663
0.368 0.368 0.105
0.632 0.632 0.895
0.500 0.500 0.500
0.141 0.606 0.367
0.157 0.157 0.004
0.394 0.859 0.633
0.421 0.421 0.812
0.579 0.579 0.188
0.606 0.141 0.367
0.843 0.843 0.996
0.859 0.394 0.633
```

Principal peaks in the range 10 to 90 degrees two-theta, in order of falling intensity:
2θ 29.0, d 3.081, I = 100; 2θ 18.8, d 4.725, I = 80; 2θ 26.0, d 3.423, I = 68; 2θ 14.9, d 5.956, I = 67; 2θ 25.3, d 3.526, I = 60; 2θ 26.9, d 3.311, I = 59; 2θ 32.4, d 2.763, I = 49; 2θ 15.6, d 5.693, I = 40; 2θ 38.1, d 2.362, I = 38; 2θ 46.9, d 1.938, I = 34

---

5.
This entry pairs a crystal structure of Tl2Hg2PdCl8 with its computed X-ray powder pattern. Radiation: Cu Kα X-rays. Structure: the GGA-PBE geometry in the Materials Project.

```
Tl2Hg2PdCl8
1.0
5.795 -3.480 0.000
5.795 3.480 0.000
-3.304 0.000 9.597
Tl Hg Pd Cl
2 2 1 8
direct
0.103 0.103 0.342
0.897 0.897 0.658
0.366 0.366 0.100
0.634 0.634 0.900
0.500 0.500 0.500
0.131 0.602 0.374
0.153 0.153 0.998
0.398 0.869 0.626
0.420 0.420 0.809
0.580 0.580 0.191
0.602 0.131 0.374
0.847 0.847 0.002
0.869 0.398 0.626
```

Principal peaks in the range 10 to 90 degrees two-theta, in order of falling intensity:
2θ 19.0, d 4.661, I = 100; 2θ 29.4, d 3.041, I = 88; 2θ 26.4, d 3.373, I = 73; 2θ 25.6, d 3.480, I = 58; 2θ 32.9, d 2.726, I = 51; 2θ 20.2, d 4.386, I = 35; 2θ 47.6, d 1.912, I = 33; 2θ 38.6, d 2.331, I = 33; 2θ 32.7, d 2.740, I = 27; 2θ 54.4, d 1.687, I = 22